Diffraction record for DyMn4P12. The powder diffraction line list is theoretical, not measured: it uses a crystal structure in Alexandria, relaxed with PBE and a wavelength of 1.5418 Å.
Lines closer than 0.1° are merged.

Structure:
```
DyMn4P12
1.0
-3.960 3.960 3.960
3.960 -3.960 3.960
3.960 3.960 -3.960
Dy Mn P
1 4 12
Direct
0.000 0.000 0.000
0.000 0.000 0.500
0.000 0.500 0.000
0.500 0.000 0.000
0.500 0.500 0.500
0.147 0.499 0.352
0.147 0.794 0.648
0.206 0.352 0.853
0.352 0.147 0.499
0.352 0.853 0.206
0.499 0.352 0.147
0.501 0.648 0.853
0.648 0.147 0.794
0.648 0.853 0.501
0.794 0.648 0.147
0.853 0.206 0.352
0.853 0.501 0.648
```

Main lines, in order of falling intensity (15° ≤ 2θ ≤ 90°):
- 2θ 35.85, I = 100
- 2θ 31.96, I = 83
- 2θ 42.72, I = 76
- 2θ 56.96, I = 57
- 2θ 15.82, I = 52
- 2θ 59.51, I = 47
- 2θ 27.59, I = 29
- 2θ 75.99, I = 20
- 2θ 82.63, I = 14
- 2θ 45.83, I = 13
- 2θ 84.81, I = 12
- 2θ 64.44, I = 12

***

Diffraction record for DyPa2Mn9. The powder diffraction line list is theoretical, not measured: it uses a crystal structure in Alexandria, relaxed with PBE and a wavelength of 1.5418 Å.
Lines closer than 0.1° are merged.

Structure:
```
DyPa2Mn9
1.0
8.384 0.000 0.000
0.000 8.384 0.000
0.000 0.000 5.122
Dy Pa Mn
2 4 18
Direct
0.000 0.000 0.000
0.500 0.500 0.000
0.128 0.372 0.000
0.372 0.872 0.000
0.628 0.128 0.000
0.872 0.628 0.000
0.000 0.500 0.500
0.071 0.206 0.500
0.177 0.677 0.250
0.177 0.677 0.750
0.206 0.929 0.500
0.294 0.429 0.500
0.323 0.177 0.250
0.323 0.177 0.750
0.429 0.706 0.500
0.500 0.000 0.500
0.571 0.294 0.500
0.677 0.823 0.250
0.677 0.823 0.750
0.706 0.571 0.500
0.794 0.071 0.500
0.823 0.323 0.250
0.823 0.323 0.750
0.929 0.794 0.500
```

Main lines, in order of falling intensity (15° ≤ 2θ ≤ 90°):
- 2θ 42.74, I = 100
- 2θ 38.23, I = 79
- 2θ 29.53, I = 41
- 2θ 35.02, I = 30
- 2θ 33.81, I = 28
- 2θ 17.31, I = 26
- 2θ 23.73, I = 24
- 2θ 70.82, I = 17
- 2θ 64.97, I = 16
- 2θ 46.83, I = 12
- 2θ 67.72, I = 12
- 2θ 41.31, I = 11

***

Diffraction record for PmDyMn17. The powder diffraction line list is theoretical, not measured: it uses a crystal structure in Alexandria, relaxed with PBE and a wavelength of 1.5418 Å.
Lines closer than 0.1° are merged.

Structure:
```
PmDyMn17
1.0
4.341 2.506 3.891
-4.341 2.506 3.891
0.000 -5.013 3.891
Pm Dy Mn
1 1 17
Direct
0.000 0.000 0.000
0.290 0.290 0.290
0.144 0.643 0.643
0.290 0.290 0.766
0.290 0.766 0.290
0.369 0.643 0.918
0.369 0.918 0.643
0.521 0.999 0.999
0.544 0.544 0.544
0.643 0.144 0.643
0.643 0.369 0.918
0.643 0.643 0.144
0.643 0.918 0.369
0.743 0.743 0.743
0.766 0.290 0.290
0.918 0.369 0.643
0.918 0.643 0.369
0.999 0.521 0.999
0.999 0.999 0.521
```

Main lines, in order of falling intensity (15° ≤ 2θ ≤ 90°):
- 2θ 42.92, I = 100
- 2θ 41.61, I = 91
- 2θ 39.08, I = 65
- 2θ 35.83, I = 47
- 2θ 30.86, I = 44
- 2θ 44.50, I = 33
- 2θ 32.42, I = 28
- 2θ 61.32, I = 28
- 2θ 45.75, I = 22
- 2θ 46.69, I = 21
- 2θ 62.55, I = 18
- 2θ 48.00, I = 18

***

Diffraction record for Pm2DyMnS5. The powder diffraction line list is theoretical, not measured: it uses a crystal structure in Alexandria, relaxed with PBE and a wavelength of 1.5418 Å.
Lines closer than 0.1° are merged.

Structure:
```
Pm2DyMnS5
1.0
1.954 -8.268 0.000
1.954 8.268 0.000
0.000 0.000 11.928
Pm Dy Mn S
4 2 2 10
Direct
0.119 0.881 0.500
0.122 0.878 0.152
0.878 0.122 0.652
0.881 0.119 0.000
0.183 0.817 0.833
0.817 0.183 0.333
0.450 0.550 0.235
0.550 0.450 0.735
0.016 0.984 0.830
0.301 0.699 0.494
0.313 0.687 0.168
0.347 0.653 0.825
0.493 0.507 0.561
0.507 0.493 0.061
0.653 0.347 0.325
0.687 0.313 0.668
0.699 0.301 0.994
0.984 0.016 0.330
```

Main lines, in order of falling intensity (15° ≤ 2θ ≤ 90°):
- 2θ 32.58, I = 100
- 2θ 24.85, I = 54
- 2θ 38.73, I = 40
- 2θ 46.48, I = 29
- 2θ 27.99, I = 29
- 2θ 33.37, I = 26
- 2θ 21.49, I = 20
- 2θ 23.39, I = 18
- 2θ 42.41, I = 18
- 2θ 28.99, I = 17
- 2θ 51.90, I = 15
- 2θ 53.41, I = 14

***

Diffraction record for Dy2PuMn2. The powder diffraction line list is theoretical, not measured: it uses a crystal structure in Alexandria, relaxed with PBE and a wavelength of 1.5418 Å.
Lines closer than 0.1° are merged.

Structure:
```
Dy2PuMn2
1.0
4.216 0.000 0.000
-2.108 3.651 0.000
0.000 0.000 7.340
Dy Pu Mn
2 1 2
Direct
0.333 0.667 0.181
0.667 0.333 0.819
0.000 0.000 0.500
0.333 0.667 0.582
0.667 0.333 0.418
```

Main lines, in order of falling intensity (15° ≤ 2θ ≤ 90°):
- 2θ 27.28, I = 100
- 2θ 34.66, I = 94
- 2θ 42.91, I = 64
- 2θ 57.73, I = 36
- 2θ 56.29, I = 24
- 2θ 36.73, I = 22
- 2θ 73.29, I = 22
- 2θ 51.60, I = 18
- 2θ 56.10, I = 16
- 2θ 69.29, I = 16
- 2θ 68.95, I = 15
- 2θ 78.62, I = 11

***

Diffraction record for Dy6MnS8. The powder diffraction line list is theoretical, not measured: it uses a crystal structure in Alexandria, relaxed with PBE and a wavelength of 1.5418 Å.
Lines closer than 0.1° are merged.

Structure:
```
Dy6MnS8
1.0
0.000 5.485 5.485
5.485 0.000 5.485
5.485 5.485 0.000
Dy Mn S
6 1 8
Direct
0.000 0.000 0.500
0.000 0.500 0.000
0.000 0.500 0.500
0.500 0.000 0.000
0.500 0.000 0.500
0.500 0.500 0.000
0.000 0.000 0.000
0.242 0.242 0.758
0.242 0.758 0.242
0.242 0.758 0.758
0.250 0.250 0.250
0.750 0.750 0.750
0.758 0.242 0.242
0.758 0.242 0.758
0.758 0.758 0.242
```

Main lines, in order of falling intensity (15° ≤ 2θ ≤ 90°):
- 2θ 32.65, I = 100
- 2θ 46.84, I = 71
- 2θ 28.18, I = 66
- 2θ 55.57, I = 32
- 2θ 77.88, I = 31
- 2θ 58.27, I = 24
- 2θ 87.02, I = 24
- 2θ 16.16, I = 23
- 2θ 22.93, I = 20
- 2θ 75.56, I = 13
- 2θ 36.63, I = 13
- 2θ 68.41, I = 11

***

Diffraction record for DyMnS2. The powder diffraction line list is theoretical, not measured: it uses a crystal structure in Alexandria, relaxed with PBE and a wavelength of 1.5418 Å.
Lines closer than 0.1° are merged.

Structure:
```
DyMnS2
1.0
1.836 1.060 7.900
-1.836 1.060 7.900
0.000 -2.120 7.900
Dy Mn S
1 1 2
Direct
0.000 0.000 0.000
0.500 0.500 0.500
0.111 0.111 0.111
0.889 0.889 0.889
```

Main lines, in order of falling intensity (15° ≤ 2θ ≤ 90°):
- 2θ 29.07, I = 100
- 2θ 41.66, I = 51
- 2θ 28.31, I = 49
- 2θ 22.51, I = 40
- 2θ 31.93, I = 35
- 2θ 49.64, I = 33
- 2θ 47.87, I = 33
- 2θ 55.16, I = 22
- 2θ 61.57, I = 14
- 2θ 58.56, I = 13
- 2θ 34.05, I = 12
- 2θ 66.76, I = 12

***

Diffraction record for Dy3Mn3S8. The powder diffraction line list is theoretical, not measured: it uses a crystal structure in Alexandria, relaxed with PBE and a wavelength of 1.5418 Å.
Lines closer than 0.1° are merged.

Structure:
```
Dy3Mn3S8
1.0
3.876 2.238 6.190
-3.876 2.238 6.190
0.000 -4.476 6.190
Dy Mn S
3 3 8
Direct
0.000 0.500 0.500
0.500 0.000 0.500
0.500 0.500 0.000
0.123 0.123 0.123
0.500 0.500 0.500
0.877 0.877 0.877
0.252 0.252 0.252
0.263 0.736 0.735
0.264 0.264 0.737
0.264 0.737 0.264
0.736 0.263 0.736
0.736 0.736 0.263
0.737 0.264 0.264
0.748 0.748 0.748
```

Main lines, in order of falling intensity (15° ≤ 2θ ≤ 90°):
- 2θ 32.93, I = 100
- 2θ 26.99, I = 93
- 2θ 46.88, I = 62
- 2θ 47.63, I = 59
- 2θ 27.14, I = 57
- 2θ 27.44, I = 31
- 2θ 23.29, I = 24
- 2θ 43.18, I = 23
- 2θ 36.06, I = 23
- 2θ 28.27, I = 23
- 2θ 43.48, I = 21
- 2θ 87.65, I = 20

***

Diffraction record for Dy2Mn2Se2S3. The powder diffraction line list is theoretical, not measured: it uses a crystal structure in Alexandria, relaxed with PBE and a wavelength of 1.5418 Å.
Lines closer than 0.1° are merged.

Structure:
```
Dy2Mn2Se2S3
1.0
-2.321 2.321 9.082
2.321 -2.321 9.082
2.321 2.321 -9.082
Dy Mn Se S
2 2 2 3
Direct
0.175 0.175 0.000
0.825 0.825 0.000
0.000 0.500 0.500
0.500 0.000 0.500
0.405 0.405 0.000
0.595 0.595 0.000
0.000 0.000 0.000
0.250 0.750 0.500
0.750 0.250 0.500
```

Main lines, in order of falling intensity (15° ≤ 2θ ≤ 90°):
- 2θ 31.26, I = 100
- 2θ 38.79, I = 77
- 2θ 24.16, I = 67
- 2θ 33.69, I = 64
- 2θ 50.64, I = 51
- 2θ 27.16, I = 46
- 2θ 56.02, I = 25
- 2θ 46.22, I = 25
- 2θ 48.77, I = 25
- 2θ 49.23, I = 21
- 2θ 64.38, I = 19
- 2θ 66.99, I = 16

***

Diffraction record for Dy6MnSi2S14. The powder diffraction line list is theoretical, not measured: it uses a crystal structure in Alexandria, relaxed with PBE and a wavelength of 1.5418 Å.
Lines closer than 0.1° are merged.

Structure:
```
Dy6MnSi2S14
1.0
9.872 0.000 0.000
-4.936 8.550 0.000
0.000 0.000 5.667
Dy Mn Si S
6 1 2 14
Direct
0.023 0.561 0.000
0.309 0.104 0.504
0.439 0.462 0.000
0.538 0.977 0.000
0.795 0.691 0.504
0.896 0.205 0.504
0.667 0.333 0.277
0.000 0.000 0.918
0.333 0.667 0.412
0.000 0.000 0.290
0.081 0.854 0.768
0.146 0.227 0.768
0.188 0.439 0.262
0.251 0.812 0.262
0.333 0.667 0.784
0.417 0.176 0.040
0.507 0.423 0.523
0.561 0.749 0.262
0.577 0.083 0.523
0.759 0.583 0.040
0.773 0.919 0.768
0.824 0.241 0.040
0.917 0.493 0.523
```

Main lines, in order of falling intensity (15° ≤ 2θ ≤ 90°):
- 2θ 26.11, I = 100
- 2θ 41.27, I = 46
- 2θ 37.94, I = 40
- 2θ 23.91, I = 38
- 2θ 38.10, I = 34
- 2θ 18.79, I = 34
- 2θ 36.40, I = 33
- 2θ 42.43, I = 30
- 2θ 27.60, I = 28
- 2θ 20.78, I = 28
- 2θ 51.57, I = 24
- 2θ 50.17, I = 22

***

Diffraction record for DyScMn. The powder diffraction line list is theoretical, not measured: it uses a crystal structure in Alexandria, relaxed with PBE and a wavelength of 1.5418 Å.
Lines closer than 0.1° are merged.

Structure:
```
DyScMn
1.0
3.133 -5.937 0.000
3.133 5.937 0.000
0.000 0.000 7.380
Dy Sc Mn
4 4 4
Direct
0.193 0.807 0.895
0.307 0.693 0.395
0.693 0.307 0.605
0.807 0.193 0.105
0.202 0.298 0.750
0.298 0.202 0.250
0.702 0.798 0.750
0.798 0.702 0.250
0.094 0.906 0.549
0.406 0.594 0.049
0.594 0.406 0.951
0.906 0.094 0.451
```

Main lines, in order of falling intensity (15° ≤ 2θ ≤ 90°):
- 2θ 29.07, I = 100
- 2θ 42.51, I = 68
- 2θ 29.30, I = 61
- 2θ 28.48, I = 56
- 2θ 34.57, I = 44
- 2θ 32.30, I = 44
- 2θ 36.24, I = 39
- 2θ 32.51, I = 38
- 2θ 39.66, I = 36
- 2θ 60.32, I = 29
- 2θ 37.66, I = 26
- 2θ 19.19, I = 25

***

Diffraction record for Dy3MnSe6. The powder diffraction line list is theoretical, not measured: it uses a crystal structure in Alexandria, relaxed with PBE and a wavelength of 1.5418 Å.
Lines closer than 0.1° are merged.

Structure:
```
Dy3MnSe6
1.0
5.575 -6.863 0.000
5.575 6.863 0.000
0.000 0.000 6.830
Dy Mn Se
6 2 12
Direct
0.099 0.901 0.500
0.220 0.417 0.406
0.417 0.220 0.906
0.583 0.780 0.406
0.780 0.583 0.906
0.901 0.099 0.000
0.298 0.702 0.865
0.702 0.298 0.365
0.064 0.596 0.686
0.130 0.195 0.703
0.195 0.130 0.203
0.278 0.722 0.223
0.404 0.936 0.686
0.461 0.539 0.711
0.539 0.461 0.211
0.596 0.064 0.186
0.722 0.278 0.723
0.805 0.870 0.703
0.870 0.805 0.203
0.936 0.404 0.186
```

Main lines, in order of falling intensity (15° ≤ 2θ ≤ 90°):
- 2θ 24.35, I = 100
- 2θ 36.32, I = 91
- 2θ 33.73, I = 81
- 2θ 37.16, I = 69
- 2θ 24.75, I = 63
- 2θ 40.87, I = 59
- 2θ 47.27, I = 46
- 2θ 49.02, I = 38
- 2θ 16.53, I = 37
- 2θ 28.09, I = 27
- 2θ 63.06, I = 25
- 2θ 47.94, I = 24